Simulated XRD peak list of Hg2PdAu3 for copper Kα, from a PBE-relaxed structure.
Intensities are scaled so that the largest is 100.

Principal peaks in the range 2θ from 10° to 90°, in order of rising 2θ:
(hkl), d (Å), intensity
0 0 4, 2.757, 44.2
0 2 4, 2.540, 100.0
1 1 -2, 2.492, 43.0
1 -1 1, 2.369, 50.4
0 3 1, 2.355, 48.8
1 2 -1, 2.337, 42.8
1 2 3, 2.261, 98.6
-1 1 3, 2.226, 57.3

Atomic structure:
```
Hg2PdAu3
1.0
2.994 0.000 0.000
1.491 7.107 0.000
0.246 3.423 11.024
Hg Pd Au
4 2 6
direct
0.023 0.433 0.184 Hg
0.272 0.965 0.138 Hg
0.728 0.035 0.862 Hg
0.977 0.567 0.816 Hg
0.391 0.702 0.992 Pd
0.609 0.298 0.008 Pd
0.104 0.288 0.656 Au
0.233 0.036 0.381 Au
0.431 0.647 0.577 Au
0.569 0.353 0.423 Au
0.767 0.964 0.619 Au
0.896 0.712 0.344 Au
```